(1)
For LaDyZnPb, a GGA-PBE-relaxed structure gives the calculated XRD peak list in this record (Cu Kα (weighted mean of Kα1 and Kα2)).
Peak positions follow from Bragg's law for the DFT cell and can differ from measured ones.

Principal peaks in the range 2θ from 5° to 70°, most intense first:
2θ 33.29, I = 100.0
2θ 59.48, I = 38.0
2θ 47.79, I = 18.3
2θ 20.20, I = 12.1
2θ 69.89, I = 11.7
2θ 39.25, I = 7.2
2θ 52.39, I = 3.3
2θ 63.49, I = 2.6

Crystal structure
Unit cell a=7.6131 b=7.6131 c=7.6131 alpha=90.00 beta=90.00 gamma=90.00
Fractional coordinates of all 16 atoms:
La: 0.0000 0.0000 0.0000
La: 0.0000 0.5000 0.5000
La: 0.5000 0.0000 0.5000
La: 0.5000 0.5000 0.0000
Dy: 0.0000 0.0000 0.5000
Dy: 0.0000 0.5000 0.0000
Dy: 0.5000 0.0000 0.0000
Dy: 0.5000 0.5000 0.5000
Zn: 0.2500 0.2500 0.2500
Zn: 0.2500 0.7500 0.7500
Zn: 0.7500 0.2500 0.7500
Zn: 0.7500 0.7500 0.2500
Pb: 0.2500 0.2500 0.7500
Pb: 0.2500 0.7500 0.2500
Pb: 0.7500 0.2500 0.2500
Pb: 0.7500 0.7500 0.7500


(2)
For LaDy5Pd2, a GGA-PBE-relaxed structure gives the calculated XRD peak list in this record (Cu Kα (weighted mean of Kα1 and Kα2)).
Peak positions follow from Bragg's law for the DFT cell and can differ from measured ones.

Principal peaks in the range 2θ from 5° to 70°, most intense first:
2θ 31.12, I = 100.0
2θ 34.50, I = 76.4
2θ 31.25, I = 72.2
2θ 34.62, I = 50.9
2θ 33.70, I = 40.5
2θ 29.29, I = 34.7
2θ 47.58, I = 32.9
2θ 56.16, I = 31.9
2θ 36.88, I = 31.3
2θ 27.73, I = 28.4

Crystal structure
Unit cell a=6.8106 b=6.8106 c=18.2974 alpha=90.00 beta=90.00 gamma=147.41
Fractional coordinates of all 16 atoms:
La: 0.1577 0.8423 0.7500
La: 0.8423 0.1577 0.2500
Dy: 0.1033 0.8967 0.2500
Dy: 0.1596 0.8404 0.5460
Dy: 0.1596 0.8404 0.9540
Dy: 0.4459 0.5541 0.5971
Dy: 0.4459 0.5541 0.9029
Dy: 0.5541 0.4459 0.0971
Dy: 0.5541 0.4459 0.4029
Dy: 0.8404 0.1596 0.0460
Dy: 0.8404 0.1596 0.4540
Dy: 0.8967 0.1033 0.7500
Pd: 0.2317 0.7683 0.1274
Pd: 0.2317 0.7683 0.3726
Pd: 0.7683 0.2317 0.6274
Pd: 0.7683 0.2317 0.8726


(3)
For La2Pm7Dy, a GGA-PBE-relaxed structure gives the calculated XRD peak list in this record (Cu Kα (weighted mean of Kα1 and Kα2)).
Peak positions follow from Bragg's law for the DFT cell and can differ from measured ones.

Principal peaks in the range 2θ from 5° to 70°, most intense first:
2θ 32.42, I = 100.0
2θ 30.43, I = 76.1
2θ 32.16, I = 75.2
2θ 29.06, I = 67.7
2θ 28.69, I = 41.9
2θ 31.25, I = 35.8
2θ 38.86, I = 26.1
2θ 50.47, I = 23.3
2θ 39.93, I = 22.9
2θ 62.30, I = 22.6

Crystal structure
Unit cell a=15.0727 b=15.0727 c=3.5287 alpha=90.00 beta=90.00 gamma=154.05
Fractional coordinates of all 10 atoms:
La: 0.2054 0.7946 0.0000
La: 0.7946 0.2054 0.0000
Pm: 0.0000 0.0000 0.0000
Pm: 0.1581 0.3538 0.0000
Pm: 0.3133 0.6867 0.5000
Pm: 0.3538 0.1581 0.0000
Pm: 0.6462 0.8419 0.0000
Pm: 0.6867 0.3133 0.5000
Pm: 0.8419 0.6462 0.0000
Dy: 0.5000 0.5000 0.5000


(4)
For La2Pm7Dy4, a GGA-PBE-relaxed structure gives the calculated XRD peak list in this record (Cu Kα (weighted mean of Kα1 and Kα2)).
Peak positions follow from Bragg's law for the DFT cell and can differ from measured ones.

Principal peaks in the range 2θ from 5° to 70°, most intense first:
2θ 31.78, I = 100.0
2θ 29.51, I = 44.5
2θ 35.27, I = 29.6
2θ 50.87, I = 29.0
2θ 26.82, I = 22.3
2θ 31.63, I = 17.7
2θ 28.72, I = 17.3
2θ 50.58, I = 17.0
2θ 63.45, I = 14.9
2θ 26.04, I = 13.7

Crystal structure
Unit cell a=6.2175 b=6.2175 c=13.2955 alpha=90.00 beta=90.00 gamma=120.00
Fractional coordinates of all 13 atoms:
La: 0.3333 0.6667 0.0000
La: 0.6667 0.3333 0.0000
Pm: 0.0000 0.0000 0.0000
Pm: 0.0000 0.3682 0.2235
Pm: 0.0000 0.6318 0.7765
Pm: 0.3682 0.0000 0.2235
Pm: 0.3682 0.3682 0.7765
Pm: 0.6318 0.0000 0.7765
Pm: 0.6318 0.6318 0.2235
Dy: 0.0000 0.0000 0.3935
Dy: 0.0000 0.0000 0.6065
Dy: 0.3333 0.6667 0.5000
Dy: 0.6667 0.3333 0.5000


(5)
For La9PmDy2, a GGA-PBE-relaxed structure gives the calculated XRD peak list in this record (Cu Kα (weighted mean of Kα1 and Kα2)).
Peak positions follow from Bragg's law for the DFT cell and can differ from measured ones.

Principal peaks in the range 2θ from 5° to 70°, most intense first:
2θ 29.67, I = 100.0
2θ 34.39, I = 50.7
2θ 58.72, I = 43.3
2θ 49.43, I = 36.4
2θ 61.60, I = 12.5

Crystal structure
Unit cell a=5.2134 b=5.2134 c=15.6560 alpha=90.00 beta=90.00 gamma=90.00
Fractional coordinates of all 12 atoms:
La: 0.0000 0.0000 0.0000
La: 0.0000 0.0000 0.3339
La: 0.0000 0.0000 0.6661
La: 0.0000 0.5000 0.1679
La: 0.0000 0.5000 0.5000
La: 0.0000 0.5000 0.8321
La: 0.5000 0.0000 0.1679
La: 0.5000 0.0000 0.5000
La: 0.5000 0.0000 0.8321
Pm: 0.5000 0.5000 0.0000
Dy: 0.5000 0.5000 0.3341
Dy: 0.5000 0.5000 0.6659


(6)
For La2Pm5Dy4, a GGA-PBE-relaxed structure gives the calculated XRD peak list in this record (Cu Kα (weighted mean of Kα1 and Kα2)).
Peak positions follow from Bragg's law for the DFT cell and can differ from measured ones.

Principal peaks in the range 2θ from 5° to 70°, most intense first:
2θ 32.08, I = 100.0
2θ 31.21, I = 68.2
2θ 28.04, I = 58.3
2θ 29.78, I = 46.6
2θ 35.41, I = 45.6
2θ 36.72, I = 45.0
2θ 30.18, I = 41.0
2θ 41.78, I = 34.9
2θ 7.46, I = 27.3
2θ 34.78, I = 26.8

Crystal structure
Unit cell a=12.8354 b=12.8354 c=12.8354 alpha=164.14 beta=137.88 gamma=45.28
Fractional coordinates of all 11 atoms:
La: 0.2333 0.2333 0.0000
La: 0.7667 0.7667 0.0000
Pm: 0.1647 0.3591 0.8056
Pm: 0.4466 0.6409 0.8056
Pm: 0.5000 0.0000 0.5000
Pm: 0.5534 0.3591 0.1944
Pm: 0.8353 0.6409 0.1944
Dy: 0.0974 0.0974 0.0000
Dy: 0.1862 0.5000 0.6862
Dy: 0.8138 0.5000 0.3138
Dy: 0.9026 0.9026 0.0000


(7)
For LaPm6Dy4, a GGA-PBE-relaxed structure gives the calculated XRD peak list in this record (Cu Kα (weighted mean of Kα1 and Kα2)).
Peak positions follow from Bragg's law for the DFT cell and can differ from measured ones.

Principal peaks in the range 2θ from 5° to 70°, most intense first:
2θ 30.25, I = 100.0
2θ 31.55, I = 91.7
2θ 32.83, I = 84.4
2θ 31.74, I = 76.8
2θ 30.36, I = 75.8
2θ 29.91, I = 75.7
2θ 43.39, I = 57.3
2θ 62.93, I = 22.3
2θ 54.56, I = 19.6
2θ 49.13, I = 19.2

Crystal structure
Unit cell a=5.6776 b=5.6776 c=25.9419 alpha=90.00 beta=90.00 gamma=117.29
Fractional coordinates of all 22 atoms:
La: 0.2166 0.7834 0.7500
La: 0.7834 0.2166 0.2500
Pm: 0.1167 0.8833 0.1801
Pm: 0.1167 0.8833 0.3199
Pm: 0.2039 0.7961 0.5989
Pm: 0.2039 0.7961 0.9011
Pm: 0.4425 0.5575 0.2500
Pm: 0.5000 0.5000 0.0000
Pm: 0.5000 0.5000 0.5000
Pm: 0.5575 0.4425 0.7500
Pm: 0.7961 0.2039 0.0989
Pm: 0.7961 0.2039 0.4011
Pm: 0.8833 0.1167 0.6801
Pm: 0.8833 0.1167 0.8199
Dy: 0.1485 0.8515 0.0431
Dy: 0.1485 0.8515 0.4569
Dy: 0.4508 0.5492 0.1233
Dy: 0.4508 0.5492 0.3767
Dy: 0.5492 0.4508 0.6233
Dy: 0.5492 0.4508 0.8767
Dy: 0.8515 0.1485 0.5431
Dy: 0.8515 0.1485 0.9569


(8)
For LaPm5Dy5, a GGA-PBE-relaxed structure gives the calculated XRD peak list in this record (Cu Kα (weighted mean of Kα1 and Kα2)).
Peak positions follow from Bragg's law for the DFT cell and can differ from measured ones.

Principal peaks in the range 2θ from 5° to 70°, most intense first:
2θ 28.26, I = 100.0
2θ 28.99, I = 85.0
2θ 50.93, I = 39.2
2θ 34.48, I = 38.4
2θ 34.86, I = 35.7
2θ 37.01, I = 29.0
2θ 60.08, I = 28.6
2θ 29.99, I = 28.1
2θ 32.83, I = 26.6
2θ 37.13, I = 24.0

Crystal structure
Unit cell a=6.1600 b=6.1600 c=11.7541 alpha=90.00 beta=90.00 gamma=120.00
Fractional coordinates of all 11 atoms:
La: 0.0000 0.0000 0.0000
Pm: 0.0000 0.0000 0.3254
Pm: 0.0000 0.0000 0.6746
Pm: 0.3333 0.6667 0.1580
Pm: 0.3333 0.6667 0.8420
Pm: 0.6667 0.3333 0.0000
Dy: 0.0002 0.5001 0.5000
Dy: 0.4999 0.9998 0.5000
Dy: 0.4999 0.5001 0.5000
Dy: 0.6667 0.3333 0.2659
Dy: 0.6667 0.3333 0.7341


(9)
For La5Pm2Dy6, a GGA-PBE-relaxed structure gives the calculated XRD peak list in this record (Cu Kα (weighted mean of Kα1 and Kα2)).
Peak positions follow from Bragg's law for the DFT cell and can differ from measured ones.

Principal peaks in the range 2θ from 5° to 70°, most intense first:
2θ 30.72, I = 100.0
2θ 31.60, I = 57.5
2θ 33.60, I = 45.8
2θ 59.93, I = 29.9
2θ 30.83, I = 29.6
2θ 34.34, I = 23.9
2θ 36.03, I = 23.8
2θ 28.65, I = 19.5
2θ 50.11, I = 19.5
2θ 50.76, I = 18.0

Crystal structure
Unit cell a=11.7576 b=21.0150 c=3.6414 alpha=90.00 beta=90.00 gamma=90.00
Fractional coordinates of all 26 atoms:
La: 0.0000 0.0000 0.0000
La: 0.0602 0.2877 0.0000
La: 0.1962 0.5674 0.0000
La: 0.3038 0.0674 0.0000
La: 0.4398 0.7877 0.0000
La: 0.5000 0.5000 0.0000
La: 0.5602 0.2123 0.0000
La: 0.6962 0.9326 0.0000
La: 0.8038 0.4326 0.0000
La: 0.9398 0.7123 0.0000
Pm: 0.1974 0.7290 0.5000
Pm: 0.3026 0.2290 0.5000
Pm: 0.6974 0.7710 0.5000
Pm: 0.8026 0.2710 0.5000
Dy: 0.0619 0.1413 0.5000
Dy: 0.0744 0.4325 0.5000
Dy: 0.1895 0.8741 0.0000
Dy: 0.3105 0.3741 0.0000
Dy: 0.4256 0.9325 0.5000
Dy: 0.4381 0.6413 0.5000
Dy: 0.5619 0.3587 0.5000
Dy: 0.5744 0.0675 0.5000
Dy: 0.6895 0.6259 0.0000
Dy: 0.8105 0.1259 0.0000
Dy: 0.9256 0.5675 0.5000
Dy: 0.9381 0.8587 0.5000


(10)
For LaPm6Dy4, a GGA-PBE-relaxed structure gives the calculated XRD peak list in this record (Cu Kα (weighted mean of Kα1 and Kα2)).
Peak positions follow from Bragg's law for the DFT cell and can differ from measured ones.

Principal peaks in the range 2θ from 5° to 70°, most intense first:
2θ 32.14, I = 100.0
2θ 31.05, I = 80.2
2θ 61.45, I = 31.3
2θ 35.07, I = 29.8
2θ 29.60, I = 22.5
2θ 45.29, I = 22.4
2θ 56.61, I = 19.2
2θ 57.28, I = 16.3
2θ 37.55, I = 11.4
2θ 53.94, I = 11.3

Crystal structure
Unit cell a=11.1415 b=11.1415 c=3.5901 alpha=90.00 beta=90.00 gamma=120.00
Fractional coordinates of all 11 atoms:
La: 0.0000 0.0000 0.0000
Pm: 0.1822 0.3645 0.5000
Pm: 0.1822 0.8178 0.5000
Pm: 0.5190 0.0380 0.0000
Pm: 0.5190 0.4810 0.0000
Pm: 0.6355 0.8178 0.5000
Pm: 0.9620 0.4810 0.0000
Dy: 0.3304 0.1652 0.5000
Dy: 0.3333 0.6667 0.0000
Dy: 0.8348 0.1652 0.5000
Dy: 0.8348 0.6696 0.5000


(11)
For La2Pm7Dy3, a GGA-PBE-relaxed structure gives the calculated XRD peak list in this record (Cu Kα (weighted mean of Kα1 and Kα2)).
Peak positions follow from Bragg's law for the DFT cell and can differ from measured ones.

Principal peaks in the range 2θ from 5° to 70°, most intense first:
2θ 30.75, I = 100.0
2θ 30.29, I = 97.0
2θ 34.21, I = 83.0
2θ 30.16, I = 82.5
2θ 33.02, I = 68.1
2θ 29.19, I = 60.6
2θ 58.52, I = 39.5
2θ 49.23, I = 38.3
2θ 51.81, I = 37.1
2θ 60.43, I = 27.3

Crystal structure
Unit cell a=6.4844 b=3.5846 c=17.8011 alpha=90.00 beta=96.00 gamma=90.00
Fractional coordinates of all 12 atoms:
La: 0.0585 0.0000 0.1700
La: 0.9415 0.0000 0.8300
Pm: 0.0000 0.5000 0.5000
Pm: 0.2295 0.0000 0.6676
Pm: 0.2582 0.0000 0.9971
Pm: 0.2773 0.5000 0.3366
Pm: 0.7227 0.5000 0.6634
Pm: 0.7418 0.0000 0.0029
Pm: 0.7705 0.0000 0.3324
Dy: 0.4540 0.5000 0.8413
Dy: 0.5000 0.0000 0.5000
Dy: 0.5460 0.5000 0.1587


(12)
For LaPm3Dy6, a GGA-PBE-relaxed structure gives the calculated XRD peak list in this record (Cu Kα (weighted mean of Kα1 and Kα2)).
Peak positions follow from Bragg's law for the DFT cell and can differ from measured ones.

Principal peaks in the range 2θ from 5° to 70°, most intense first:
2θ 31.12, I = 100.0
2θ 29.14, I = 69.5
2θ 54.16, I = 24.3
2θ 43.16, I = 23.8
2θ 55.38, I = 19.5
2θ 64.89, I = 13.8
2θ 32.40, I = 13.8
2θ 57.20, I = 13.6
2θ 41.55, I = 12.4
2θ 49.28, I = 9.5

Crystal structure
Unit cell a=6.9394 b=6.9394 c=6.9394 alpha=91.65 beta=91.65 gamma=91.65
Fractional coordinates of all 10 atoms:
La: 0.0000 0.0000 0.0000
Pm: 0.2515 0.2515 0.2515
Pm: 0.5001 0.5001 0.5001
Pm: 0.7489 0.7489 0.7489
Dy: 0.1741 0.8242 0.4991
Dy: 0.3277 0.6705 0.9991
Dy: 0.4991 0.1741 0.8242
Dy: 0.6705 0.9991 0.3277
Dy: 0.8242 0.4991 0.1741
Dy: 0.9991 0.3277 0.6705